No. 1
Theoretical powder X-ray diffraction pattern of Nb3AgN5 for CuKα, from a crystal structure in OQMD, relaxed with GGA-PBE.
Intensities are scaled so that the largest is 100.

Cell and atoms:
a = 5.3773 Å, b = 5.3773 Å, c = 4.3833 Å
α = 90.00°, β = 90.00°, γ = 120.00°
Space group P6/mmm (No. 191)
Unique sites:
Nb 0.0000 0.5000 0.0000
Ag 0.0000 0.0000 0.5000
N 0.0000 0.0000 0.0000
N 0.3333 0.6667 0.3484

Principal peaks in the range 10° ≤ 2θ ≤ 90°, in order of rising 2θ:
hkl  2θ (°)  intensity
0 0 1  20.26  29
1 0 1  27.95  100
2 0 0  38.67  98
1 1 1  39.31  64
0 0 2  41.19  29
2 0 1  44.04  37
2 1 1  56.33  29
2 0 2  57.77  68



No. 2
Theoretical powder X-ray diffraction pattern of Mg2BiW for CuKα, from a crystal structure in OQMD, relaxed with GGA-PBE.
Intensities are scaled so that the largest is 100.

Cell and atoms:
a = 6.9184 Å, b = 6.9184 Å, c = 6.9184 Å
α = 90.00°, β = 90.00°, γ = 90.00°
Space group F-43m (No. 216)
Unique sites:
Mg 0.0000 0.0000 0.0000
Mg 0.2500 0.2500 0.2500
Bi 0.0000 0.0000 0.5000
W 0.2500 0.2500 0.7500

Principal peaks in the range 10° ≤ 2θ ≤ 90°, in order of rising 2θ:
hkl  2θ (°)  intensity
1 1 1  22.26  68
2 2 0  36.74  100
3 1 1  43.38  38
4 0 0  52.94  18
3 3 1  58.12  16
4 2 2  66.17  37
5 3 1  82.48  13
6 2 0  89.62  17